No. 1
Structure and calculated powder XRD pattern of Nd2Er3Tm6Pb (a DFT-relaxed cell (GGA-PBE, Alexandria); Cu Kα, 1.54184 Å).

Cell and atoms:
```
Nd2Er3Tm6Pb
1.0
3.023 -5.238 0.000
3.023 5.238 0.000
-2.024 0.000 11.475
Nd Er Tm Pb
2 3 6 1
direct
0.166 0.834 0.000
0.834 0.166 0.000
0.000 0.000 0.500
0.333 0.667 0.500
0.667 0.333 0.500
0.089 0.417 0.748
0.256 0.256 0.253
0.417 0.089 0.748
0.583 0.911 0.252
0.744 0.744 0.747
0.911 0.583 0.252
0.500 0.500 0.000
```

Main lines, by angle (10 to 80 degrees two-theta):
2theta, I/Imax
31.18, 33.9
31.36, 100.0
36.31, 67.7
52.18, 24.2
52.42, 23.8
62.26, 28.4

=====

No. 2
Structure and calculated powder XRD pattern of Th4GeBi (a DFT-relaxed cell (GGA-PBE, Alexandria); Cu Kα, 1.54184 Å).

Cell and atoms:
```
Th4GeBi
1.0
7.576 0.000 0.000
0.000 7.576 0.000
0.000 0.000 6.330
Th Ge Bi
8 2 2
direct
0.146 0.327 0.000
0.146 0.673 0.500
0.327 0.146 0.500
0.327 0.854 0.000
0.673 0.146 0.000
0.673 0.854 0.500
0.854 0.327 0.500
0.854 0.673 0.000
0.000 0.000 0.250
0.000 0.000 0.750
0.500 0.500 0.250
0.500 0.500 0.750
```

Main lines, by angle (10 to 80 degrees two-theta):
2theta, I/Imax
29.91, 100.0
32.87, 24.7
37.01, 27.2
37.54, 33.7
50.99, 23.5
59.43, 20.1

=====

What is the formula in the first record?
Nd2Er3Tm6Pb